For NaSn2Pd6, a DFT-relaxed cell (GGA-PBE, Alexandria) gives the simulated powder XRD pattern in this record (CuKα).
Intensities are scaled so that the largest is 100.

Peak list (10 most intense, 10° ≤ 2θ ≤ 80°, by intensity)
two_theta	d (Å)	I (rel.)	index
42.4	2.133	100	2 2 1
39.9	2.260	54	1 3 -1
39.0	2.310	44	2 0 -2
31.4	2.848	38	3 1 0
35.2	2.551	21	2 0 1
72.9	1.297	20	0 2 3
50.9	1.794	19	1 1 2
14.9	5.933	18	1 1 0
75.0	1.267	14	5 3 1
22.9	3.887	14	0 2 0

abc: 10.2715 7.7747 4.6199
angles: 90.00 116.64 90.00
Space group C2/m (No. 12)
Unique sites:
Na  0.0000  0.0000  0.0000 x2
Sn  0.1805  0.5000  0.6806 x4
Pd  0.0000  0.2317  0.5000 x4
Pd  0.1743  0.3116  0.1743 x8